[1]
The following is a computed powder XRD pattern of ZnHgC4S4N4. It was derived from the PBE geometry in Alexandria, using copper Kα.
Kinematic intensities with the Lorentz-polarization factor, no thermal factor.

Largest 10 diffraction maxima, in order of rising 2θ, 15° ≤ 2θ ≤ 90°:
2θ/deg  Rel. int.
15.8  1000
18.8  820
22.4  263
24.6  994
29.4  477
33.5  465
35.8  288
37.3  262
43.1  515
43.9  349

Atomic structure:
abc: 8.357 8.357 8.357
angles: 95.55 95.55 143.77
Positions (direct):
1 Zn 0.000 0.000 0.000
2 Hg 0.750 0.250 0.500
3 C 0.123 0.280 0.715
4 C 0.565 0.408 0.285
5 C 0.592 0.877 0.157
6 C 0.720 0.435 0.843
7 S 0.193 0.426 0.565
8 S 0.372 0.807 0.233
9 S 0.574 0.139 0.767
10 S 0.861 0.628 0.435
11 N 0.080 0.177 0.823
12 N 0.355 0.257 0.177
13 N 0.743 0.920 0.098
14 N 0.823 0.645 0.902

***

[2]
The following is a computed powder XRD pattern of NaHg2C2O6. It was derived from the PBE geometry in Alexandria, using copper Kα.
Kinematic intensities with the Lorentz-polarization factor, no thermal factor.

Largest 10 diffraction maxima, in order of rising 2θ, 15° ≤ 2θ ≤ 90°:
2θ/deg  Rel. int.
20.6  1000
21.0  758
25.1  478
29.0  619
29.6  646
33.0  543
33.5  396
38.7  290
42.0  300
42.7  311

Atomic structure:
abc: 5.279 5.284 6.851
angles: 96.64 104.81 119.14
Positions (direct):
1 Na 0.000 0.000 0.000
2 Hg 0.473 0.195 0.635
3 Hg 0.527 0.805 0.365
4 C 0.220 0.578 0.764
5 C 0.780 0.422 0.236
6 O 0.019 0.319 0.776
7 O 0.176 0.799 0.774
8 O 0.477 0.621 0.740
9 O 0.523 0.379 0.260
10 O 0.824 0.201 0.226
11 O 0.981 0.681 0.224

***

[3]
The following is a computed powder XRD pattern of Nd3HgC. It was derived from the PBE geometry in Alexandria, using copper Kα.
Kinematic intensities with the Lorentz-polarization factor, no thermal factor.

Largest 10 diffraction maxima, in order of rising 2θ, 15° ≤ 2θ ≤ 90°:
2θ/deg  Rel. int.
30.3  308
30.5  297
30.6  529
31.1  1000
31.5  682
32.0  334
33.1  567
34.7  299
48.3  272
58.3  267

Atomic structure:
abc: 9.009 3.767 15.438
angles: 90.00 90.00 90.00
Positions (direct):
1 Nd 0.026 0.250 0.098
2 Nd 0.177 0.250 0.504
3 Nd 0.215 0.750 0.302
4 Nd 0.285 0.250 0.802
5 Nd 0.323 0.750 0.004
6 Nd 0.474 0.750 0.598
7 Nd 0.526 0.250 0.402
8 Nd 0.677 0.250 0.996
9 Nd 0.715 0.750 0.198
10 Nd 0.785 0.250 0.698
11 Nd 0.823 0.750 0.496
12 Nd 0.974 0.750 0.902
13 Hg 0.084 0.750 0.673
14 Hg 0.416 0.250 0.173
15 Hg 0.584 0.750 0.827
16 Hg 0.916 0.250 0.327
17 C 0.155 0.250 0.946
18 C 0.345 0.750 0.446
19 C 0.655 0.250 0.554
20 C 0.845 0.750 0.054